(1)
Pm3NdN3: calculated XRD peak list (Cu Kα X-rays), based on DFT lattice parameters and positions (PBE).
Lines closer than 0.1° are merged.

Top 8 peaks for 10° ≤ 2θ ≤ 90°, by intensity:
2θ (°), Rel. int.
30.2, 100
35.0, 67
50.4, 47
59.9, 45
84.6, 21
82.0, 19
62.9, 16
74.0, 7

a b c (Å): 5.1220 5.1220 5.1220
angles (deg): 90.00 90.00 90.00
Fractional positions:
Pm 0.0000 0.0000 0.5000
Pm 0.0000 0.5000 0.0000
Pm 0.5000 0.0000 0.0000
Nd 0.5000 0.5000 0.5000
N 0.0000 0.5000 0.5000
N 0.5000 0.0000 0.5000
N 0.5000 0.5000 0.0000

=====

(2)
Pm2NdN3: calculated XRD peak list (Cu Kα X-rays), based on DFT lattice parameters and positions (PBE).
Lines closer than 0.1° are merged.

Top 9 peaks for 10° ≤ 2θ ≤ 90°, by intensity:
2θ (°), Rel. int.
30.2, 100
35.0, 74
50.3, 52
59.8, 46
81.8, 19
62.7, 17
84.4, 15
73.9, 8
84.5, 8

a b c (Å): 7.2566 5.1272 10.8898
angles (deg): 90.00 90.00 90.00
Fractional positions:
Pm 0.1262 0.2500 0.0833
Pm 0.1266 0.2500 0.7504
Pm 0.3734 0.7500 0.2504
Pm 0.3738 0.7500 0.5833
Pm 0.6262 0.2500 0.4167
Pm 0.6266 0.2500 0.7496
Pm 0.8734 0.7500 0.2496
Pm 0.8738 0.7500 0.9167
Nd 0.1268 0.2500 0.4164
Nd 0.3732 0.7500 0.9164
Nd 0.6268 0.2500 0.0836
Nd 0.8732 0.7500 0.5836
N 0.1272 0.7500 0.0845
N 0.1291 0.7500 0.7494
N 0.1319 0.7500 0.4162
N 0.3681 0.2500 0.9162
N 0.3709 0.2500 0.2494
N 0.3728 0.2500 0.5845
N 0.6272 0.7500 0.4155
N 0.6291 0.7500 0.7506
N 0.6319 0.7500 0.0838
N 0.8681 0.2500 0.5838
N 0.8709 0.2500 0.2506
N 0.8728 0.2500 0.9155

=====

(3)
Pm5NdN4: calculated XRD peak list (Cu Kα X-rays), based on DFT lattice parameters and positions (PBE).
Lines closer than 0.1° are merged.

Top 10 peaks for 10° ≤ 2θ ≤ 90°, by intensity:
2θ (°), Rel. int.
30.3, 100
34.6, 87
29.8, 51
29.5, 50
34.9, 43
50.2, 31
59.9, 29
49.8, 29
59.7, 22
50.7, 15

a b c (Å): 8.1083 8.1083 7.4485
angles (deg): 102.70 102.70 25.67
Fractional positions:
Pm 0.0000 0.0000 0.0000
Pm 0.3351 0.3351 0.6495
Pm 0.3405 0.3405 0.1945
Pm 0.6595 0.6595 0.8055
Pm 0.6649 0.6649 0.3505
Nd 0.0000 0.0000 0.5000
N 0.1683 0.1683 0.5845
N 0.4976 0.4976 0.2445
N 0.5024 0.5024 0.7555
N 0.8317 0.8317 0.4155

=====

(4)
Pm2NdRuN4: calculated XRD peak list (Cu Kα X-rays), based on DFT lattice parameters and positions (PBE).
Lines closer than 0.1° are merged.

Top 10 peaks for 10° ≤ 2θ ≤ 90°, by intensity:
2θ (°), Rel. int.
30.5, 100
37.4, 99
29.9, 64
29.8, 42
26.8, 42
42.7, 30
61.4, 28
34.9, 26
51.6, 24
48.6, 23

a b c (Å): 6.2218 6.2218 11.9928
angles (deg): 90.00 90.00 147.37
Fractional positions:
Pm 0.1317 0.8683 0.5428
Pm 0.1317 0.8683 0.9572
Pm 0.8683 0.1317 0.0428
Pm 0.8683 0.1317 0.4572
Nd 0.3790 0.6210 0.7500
Nd 0.6210 0.3790 0.2500
Ru 0.3539 0.6461 0.2500
Ru 0.6461 0.3539 0.7500
N 0.0652 0.9348 0.7500
N 0.2292 0.7708 0.1338
N 0.2292 0.7708 0.3662
N 0.5000 0.5000 0.0000
N 0.5000 0.5000 0.5000
N 0.7708 0.2292 0.6338
N 0.7708 0.2292 0.8662
N 0.9348 0.0652 0.2500

=====

(5)
Pm2NdSiN4: calculated XRD peak list (Cu Kα X-rays), based on DFT lattice parameters and positions (PBE).
Lines closer than 0.1° are merged.

Top 10 peaks for 10° ≤ 2θ ≤ 90°, by intensity:
2θ (°), Rel. int.
30.8, 100
27.0, 83
37.8, 50
35.4, 47
30.5, 44
46.7, 36
29.8, 35
52.0, 30
49.3, 22
34.6, 22

a b c (Å): 6.1108 6.1108 11.9804
angles (deg): 90.00 90.00 147.07
Fractional positions:
Pm 0.1324 0.8676 0.5429
Pm 0.1324 0.8676 0.9571
Pm 0.8676 0.1324 0.0429
Pm 0.8676 0.1324 0.4571
Nd 0.4088 0.5912 0.7500
Nd 0.5912 0.4088 0.2500
Si 0.3199 0.6801 0.2500
Si 0.6801 0.3199 0.7500
N 0.0965 0.9035 0.7500
N 0.2282 0.7718 0.1358
N 0.2282 0.7718 0.3642
N 0.5000 0.5000 0.0000
N 0.5000 0.5000 0.5000
N 0.7718 0.2282 0.6358
N 0.7718 0.2282 0.8642
N 0.9035 0.0965 0.2500

=====

(6)
Pm4Nd2Te3N2: calculated XRD peak list (Cu Kα X-rays), based on DFT lattice parameters and positions (PBE).
Lines closer than 0.1° are merged.

Top 10 peaks for 10° ≤ 2θ ≤ 90°, by intensity:
2θ (°), Rel. int.
33.8, 100
38.2, 51
27.6, 44
66.2, 28
55.2, 17
30.1, 17
27.0, 17
62.8, 16
47.4, 15
52.0, 14

a b c (Å): 13.6165 13.6165 13.6165
angles (deg): 160.08 160.08 28.32
Fractional positions:
Pm 0.0828 0.5828 0.5000
Pm 0.4172 0.9172 0.5000
Pm 0.5828 0.0828 0.5000
Pm 0.9172 0.4172 0.5000
Nd 0.1948 0.1948 0.0000
Nd 0.8052 0.8052 0.0000
Te 0.3228 0.3228 0.0000
Te 0.5000 0.5000 0.0000
Te 0.6772 0.6772 0.0000
N 0.1070 0.1070 0.0000
N 0.8930 0.8930 0.0000

=====

What did the fifth record say?
Pm2NdSiN4: calculated XRD peak list (Cu Kα X-rays), based on DFT lattice parameters and positions (PBE).
Lines closer than 0.1° are merged.

Top 10 peaks for 10° ≤ 2θ ≤ 90°, by intensity:
2θ (°), Rel. int.
30.8, 100
27.0, 83
37.8, 50
35.4, 47
30.5, 44
46.7, 36
29.8, 35
52.0, 30
49.3, 22
34.6, 22

a b c (Å): 6.1108 6.1108 11.9804
angles (deg): 90.00 90.00 147.07
Fractional positions:
Pm 0.1324 0.8676 0.5429
Pm 0.1324 0.8676 0.9571
Pm 0.8676 0.1324 0.0429
Pm 0.8676 0.1324 0.4571
Nd 0.4088 0.5912 0.7500
Nd 0.5912 0.4088 0.2500
Si 0.3199 0.6801 0.2500
Si 0.6801 0.3199 0.7500
N 0.0965 0.9035 0.7500
N 0.2282 0.7718 0.1358
N 0.2282 0.7718 0.3642
N 0.5000 0.5000 0.0000
N 0.5000 0.5000 0.5000
N 0.7718 0.2282 0.6358
N 0.7718 0.2282 0.8642
N 0.9035 0.0965 0.2500